# KMnCl3O2
Calculated powder X-ray diffraction pattern, a wavelength of 1.5418 Å. Input: DFT lattice parameters and positions (GGA+U).
Lines closer than 0.1° are merged.

Main lines, in order of rising 2θ (10° ≤ 2θ ≤ 90°):
h k l  two_theta  I_rel
0 1 0  14.01  100
1 1 0  15.76  59
0 0 2  20.49  47
1 1 -1  20.66  68
0 1 -2  28.91  56
0 2 3  33.62  53

Cell and atoms:
abc: 6.5295 7.3886 9.3078
angles: 69.45 87.13 66.61
Space group P-1 (No. 2)
Symmetry-distinct sites (fractional):
1 K 0.1596 0.2117 0.3023 x2
2 Mn 0.2330 0.0984 0.7913 x2
3 Cl 0.0875 0.6980 0.3521 x2
4 Cl 0.1637 0.3261 0.9226 x2
5 Cl 0.3040 0.8633 0.6517 x2
6 O 0.2384 0.9076 0.9444 x2
7 O 0.4550 0.1337 0.7288 x2